Theoretical XRD peak list
Compound: PaCrCo2O8
Radiation: λ = 1.5418 Å (Cu Kα)
Structure: a crystal structure in Alexandria, relaxed with GGA+U

Principal peaks in the range 10 to 80 degrees two-theta, most intense first:
| 2theta | I_rel |
| --- | --- |
| 26.1 | 100 |
| 33.3 | 82 |
| 50.8 | 64 |
| 18.9 | 63 |
| 18.4 | 34 |
| 32.4 | 25 |

Structure:
Cell lengths 5.820, 5.820, 5.820 Å; angles 108.07, 108.07, 112.31 degrees
Fractional coordinates of all 12 atoms:
Pa  0.000  0.000  0.000
Cr  0.250  0.750  0.500
Co  0.500  0.500  0.000
Co  0.750  0.250  0.500
O  0.311  0.116  0.804
O  0.311  0.507  0.196
O  0.376  0.065  0.310
O  0.493  0.689  0.804
O  0.755  0.065  0.690
O  0.884  0.689  0.196
O  0.935  0.245  0.310
O  0.935  0.624  0.690